The following is a computed powder diffractogram of Cu2Ni4Mo. It was derived from a structure optimized by DFT (GGA-PBE), using Cu Kα, 1.54184 Å.

Cell and atoms:
```
data_Cu2Ni4Mo
_space_group_name_H-M_alt 'C m m m'
_space_group_IT_number 65
_space_group_name_Hall '-C 2 2'
_cell_length_a 3.8292
_cell_length_b 17.2684
_cell_length_c 2.5306
_cell_angle_alpha 90.00
_cell_angle_beta 90.00
_cell_angle_gamma 90.00
loop_
_atom_site_label
_atom_site_fract_x
_atom_site_fract_y
_atom_site_fract_z
Cu1 0.0000 0.2106 0.0000
Ni1 0.0000 0.0723 0.0000
Ni2 0.0000 0.3536 0.5000
Mo1 0.0000 0.5000 0.5000
```

Top 10 peaks for 10° ≤ 2θ ≤ 90°, low angle first:
two_theta  I (rel.)
43.17  91.3
43.65  100.0
47.49  39.1
47.86  32.2
55.99  20.5
69.72  19.4
76.41  15.7
85.36  11.4
85.69  12.6
86.58  10.2